For PrVClO2, a PBE+U-relaxed structure gives the theoretical X-ray diffraction stick pattern in this record (a wavelength of 1.5418 Å).
Intensities are scaled so that the largest is 100.

Atomic structure:
```
PrVClO2
1.0
4.1492 0.0000 0.0000
0.0000 4.1492 0.0000
0.0000 0.0000 5.7035
Pr V Cl O
1 1 1 2
direct
0.0000 0.0000 0.0000
0.5000 0.5000 0.2774
0.5000 0.5000 0.7231
0.0000 0.5000 0.1850
0.5000 0.0000 0.1850
```

Main lines, low angle first (10 to 90 degrees two-theta):
h k l	2θ/deg	I_rel
0 0 1	15.5	80
1 0 1	26.6	100
1 1 0	30.5	54
1 1 1	34.4	27
1 0 2	38.3	75
2 0 0	43.6	35
2 1 1	51.8	31
2 1 2	59.4	39